Starting from a structure optimized by DFT (GGA-PBE), the powder diffraction line list of Ac2CdGa was simulated for λ = 1.5418 Å (Cu Kα).
Kinematic intensities with the Lorentz-polarization factor, no thermal factor.

Crystal structure
Lattice parameters (Å, degrees): 5.6721 5.6721 5.6721 60.00 60.00 60.00
Atoms (fractional coordinates):
Ac  0.2500  0.2500  0.2500
Ac  0.7500  0.7500  0.7500
Cd  0.0000  0.0000  0.0000
Ga  0.5000  0.5000  0.5000

Most intense lines, 2θ from 5° to 70°, in order of rising 2θ:
19.2°, I = 1; 22.2°, I = 19; 31.5°, I = 100; 37.2°, I = 1; 38.9°, I = 6; 45.2°, I = 19; 50.9°, I = 9; 56.2°, I = 39; 65.9°, I = 12